Diffraction record for BaNaIn2Pt. The powder diffraction line list is calculated, not measured: it uses a DFT-relaxed cell (GGA-PBE, Alexandria) and Cu Kα.
No peak broadening, texture or thermal motion is included.

Largest 8 diffraction maxima, by angle, 2θ = 15–90°:
Position (°2θ), Rel. int.
16.1, 49
23.4, 100
29.0, 27
32.5, 42
34.2, 73
41.9, 44
47.9, 56
60.1, 28

```
data_BaNaIn2Pt
_chemical_formula_sum 'Ba1 Na1 In2 Pt1'
_symmetry_space_group_name_H-M 'P 4/m m m'
_symmetry_Int_Tables_number 123
_symmetry_space_group_name_Hall '-P 4 2'
_cell_length_a 5.2456
_cell_length_b 5.2456
_cell_length_c 5.5104
_cell_angle_alpha 90.00
_cell_angle_beta 90.00
_cell_angle_gamma 90.00
loop_
_atom_site_label
_atom_site_type_symbol
_atom_site_fract_x
_atom_site_fract_y
_atom_site_fract_z
Ba1 Ba 0.0000 0.0000 0.0000
Na1 Na 0.5000 0.5000 0.0000
In1 In 0.0000 0.5000 0.5000
Pt1 Pt 0.5000 0.5000 0.5000
```

Diffraction record for Ba2NaIn3Pt4. The powder diffraction line list is calculated, not measured: it uses a DFT-relaxed cell (GGA-PBE, Alexandria) and Cu Kα.
No peak broadening, texture or thermal motion is included.

Largest 8 diffraction maxima, by angle, 2θ = 15–90°:
Position (°2θ), Rel. int.
30.5, 59
31.1, 100
37.9, 82
42.0, 45
44.8, 29
49.4, 31
54.7, 28
64.2, 25

```
data_Ba2NaIn3Pt4
_chemical_formula_sum 'Ba2 Na1 In3 Pt4'
_symmetry_space_group_name_H-M 'P -4 m 2'
_symmetry_Int_Tables_number 115
_symmetry_space_group_name_Hall 'P -4 -2'
_cell_length_a 4.7494
_cell_length_b 4.7494
_cell_length_c 11.1931
_cell_angle_alpha 90.00
_cell_angle_beta 90.00
_cell_angle_gamma 90.00
loop_
_atom_site_label
_atom_site_type_symbol
_atom_site_fract_x
_atom_site_fract_y
_atom_site_fract_z
Ba1 Ba 0.0000 0.5000 0.2403
Na1 Na 0.0000 0.0000 0.5000
In1 In 0.0000 0.5000 0.8829
In2 In 0.5000 0.5000 0.5000
Pt1 Pt 0.0000 0.0000 0.0000
Pt2 Pt 0.0000 0.5000 0.6412
Pt3 Pt 0.5000 0.5000 0.0000
```

Diffraction record for Ba2NaIn4Sn3. The powder diffraction line list is calculated, not measured: it uses a DFT-relaxed cell (GGA-PBE, Alexandria) and Cu Kα.
No peak broadening, texture or thermal motion is included.

Largest 8 diffraction maxima, by angle, 2θ = 15–90°:
Position (°2θ), Rel. int.
27.4, 65
28.7, 100
35.8, 71
37.8, 33
39.4, 41
45.6, 32
51.5, 25
54.3, 32

```
data_Ba2NaIn4Sn3
_chemical_formula_sum 'Ba2 Na1 In4 Sn3'
_symmetry_space_group_name_H-M 'P -4 m 2'
_symmetry_Int_Tables_number 115
_symmetry_space_group_name_Hall 'P -4 -2'
_cell_length_a 5.0211
_cell_length_b 5.0211
_cell_length_c 12.8476
_cell_angle_alpha 90.00
_cell_angle_beta 90.00
_cell_angle_gamma 90.00
loop_
_atom_site_label
_atom_site_type_symbol
_atom_site_fract_x
_atom_site_fract_y
_atom_site_fract_z
Ba1 Ba 0.0000 0.5000 0.2421
Na1 Na 0.0000 0.0000 0.5000
In1 In 0.0000 0.0000 0.0000
In2 In 0.0000 0.5000 0.6366
In3 In 0.5000 0.5000 0.0000
Sn1 Sn 0.0000 0.5000 0.8656
Sn2 Sn 0.5000 0.5000 0.5000
```

Diffraction record for BaNaTmIn. The powder diffraction line list is calculated, not measured: it uses a DFT-relaxed cell (GGA-PBE, Alexandria) and Cu Kα.
No peak broadening, texture or thermal motion is included.

Largest 8 diffraction maxima, by angle, 2θ = 15–90°:
Position (°2θ), Rel. int.
18.9, 11
21.8, 15
31.1, 100
44.5, 18
50.1, 7
55.3, 39
64.8, 12
73.6, 16

```
data_BaNaTmIn
_chemical_formula_sum 'Ba4 Na4 Tm4 In4'
_symmetry_space_group_name_H-M 'F -4 3 m'
_symmetry_Int_Tables_number 216
_symmetry_space_group_name_Hall 'F -4 2 3'
_cell_length_a 8.1421
_cell_length_b 8.1421
_cell_length_c 8.1421
_cell_angle_alpha 90.00
_cell_angle_beta 90.00
_cell_angle_gamma 90.00
loop_
_atom_site_label
_atom_site_type_symbol
_atom_site_fract_x
_atom_site_fract_y
_atom_site_fract_z
Ba1 Ba 0.0000 0.0000 0.0000
Na1 Na 0.2500 0.2500 0.7500
Tm1 Tm 0.0000 0.0000 0.5000
In1 In 0.2500 0.2500 0.2500
```